1.
# BaMg2As2
Calculated X-ray powder pattern, copper Kα. Input: a structure optimized by DFT (PBE).
Lines closer than 0.1° are merged.

Atomic structure:
a = 4.5221 Å, b = 4.5221 Å, c = 7.7926 Å
α = 90.00°, β = 90.00°, γ = 120.00°
Element x y z (fractional)
Ba  0.0000  0.0000  0.0000
Mg  0.3333  0.6667  0.6229
Mg  0.6667  0.3333  0.3771
As  0.3333  0.6667  0.2730
As  0.6667  0.3333  0.7270

Top 10 peaks for 2θ from 10° to 90°, in order of rising 2θ:
Position (°2θ), I_rel
11.36, 14
25.45, 100
32.41, 62
39.87, 47
41.73, 22
47.90, 18
52.29, 16
53.75, 18
64.03, 15
67.72, 15

***

2.
# HoGeO3
Calculated X-ray powder pattern, copper Kα. Input: a structure optimized by DFT (PBE).
Lines closer than 0.1° are merged.

Atomic structure:
a = 3.9049 Å, b = 3.9049 Å, c = 3.9049 Å
α = 90.00°, β = 90.00°, γ = 90.00°
Element x y z (fractional)
Ho  0.0000  0.0000  0.0000
Ge  0.5000  0.5000  0.5000
O  0.0000  0.5000  0.5000
O  0.5000  0.0000  0.5000
O  0.5000  0.5000  0.0000

Top 10 peaks for 2θ from 10° to 90°, in order of rising 2θ:
Position (°2θ), I_rel
22.77, 12
32.42, 100
39.99, 14
46.51, 30
52.39, 6
57.84, 39
67.89, 18
77.26, 17
81.81, 4
86.30, 6

***

3.
# Sm2Fe3Ru
Calculated X-ray powder pattern, copper Kα. Input: a structure optimized by DFT (PBE).
Lines closer than 0.1° are merged.

Atomic structure:
a = 5.3327 Å, b = 5.3327 Å, c = 5.3327 Å
α = 58.82°, β = 58.82°, γ = 58.82°
Element x y z (fractional)
Sm  0.1250  0.1250  0.1250
Sm  0.8750  0.8750  0.8750
Fe  0.0000  0.5000  0.5000
Fe  0.5000  0.0000  0.5000
Fe  0.5000  0.5000  0.0000
Ru  0.5000  0.5000  0.5000

Top 10 peaks for 2θ from 10° to 90°, in order of rising 2θ:
Position (°2θ), I_rel
33.62, 38
34.24, 65
39.55, 52
40.09, 100
40.35, 29
42.14, 24
64.88, 24
65.26, 23
70.68, 21
72.14, 20

***

4.
# Sc5Ge3
Calculated X-ray powder pattern, copper Kα. Input: a structure optimized by DFT (PBE).
Lines closer than 0.1° are merged.

Atomic structure:
a = 7.9726 Å, b = 7.9726 Å, c = 5.9087 Å
α = 90.00°, β = 90.00°, γ = 120.00°
Element x y z (fractional)
Sc  0.0000  0.2404  0.2500
Sc  0.0000  0.7596  0.7500
Sc  0.2404  0.0000  0.2500
Sc  0.2404  0.2404  0.7500
Sc  0.3333  0.6667  0.0000
Sc  0.3333  0.6667  0.5000
Sc  0.6667  0.3333  0.0000
Sc  0.6667  0.3333  0.5000
Sc  0.7596  0.0000  0.7500
Sc  0.7596  0.7596  0.2500
Ge  0.0000  0.3938  0.7500
Ge  0.0000  0.6062  0.2500
Ge  0.3938  0.0000  0.7500
Ge  0.3938  0.3938  0.2500
Ge  0.6062  0.0000  0.2500
Ge  0.6062  0.6062  0.7500

Top 10 peaks for 2θ from 10° to 90°, in order of rising 2θ:
Position (°2θ), I_rel
26.98, 23
30.25, 31
34.36, 20
37.68, 100
37.91, 72
39.14, 41
40.17, 15
50.07, 24
58.73, 25
76.09, 19

***

5.
# La2Mg3Ag9
Calculated X-ray powder pattern, copper Kα. Input: a structure optimized by DFT (PBE).
Lines closer than 0.1° are merged.

Atomic structure:
a = 5.8637 Å, b = 5.8637 Å, c = 10.2286 Å
α = 90.00°, β = 90.00°, γ = 122.69°
Element x y z (fractional)
La  0.0000  0.5000  0.2478
La  0.5000  0.0000  0.7522
Mg  0.0000  0.0000  0.5000
Mg  0.5000  0.5000  0.0000
Mg  0.5000  0.5000  0.5000
Ag  0.0000  0.0000  0.0000
Ag  0.0000  0.5000  0.5553
Ag  0.0000  0.5000  0.9446
Ag  0.1942  0.3067  0.7489
Ag  0.3067  0.1942  0.2511
Ag  0.5000  0.0000  0.0554
Ag  0.5000  0.0000  0.4447
Ag  0.6933  0.8058  0.2511
Ag  0.8058  0.6933  0.7489

Top 10 peaks for 2θ from 10° to 90°, in order of rising 2θ:
Position (°2θ), I_rel
31.80, 68
31.90, 35
34.87, 25
35.09, 25
36.44, 30
40.61, 100
47.91, 12
48.12, 12
62.71, 20
66.53, 12

***

6.
# U2F9
Calculated X-ray powder pattern, copper Kα. Input: a structure optimized by DFT (PBE).
Lines closer than 0.1° are merged.

Atomic structure:
a = 7.3883 Å, b = 7.3883 Å, c = 7.3883 Å
α = 109.47°, β = 109.47°, γ = 109.47°
Element x y z (fractional)
U  0.0000  0.0000  0.3743
U  0.0000  0.3743  0.0000
U  0.3743  0.0000  0.0000
U  0.6257  0.6257  0.6257
F  0.0000  0.2277  0.2277
F  0.0000  0.2332  0.6445
F  0.0000  0.6445  0.2332
F  0.0000  0.7723  0.7723
F  0.2277  0.0000  0.2277
F  0.2277  0.2277  0.0000
F  0.2332  0.0000  0.6445
F  0.2332  0.6445  0.0000
F  0.3555  0.3555  0.5887
F  0.3555  0.5887  0.3555
F  0.4113  0.7668  0.7668
F  0.5887  0.3555  0.3555
F  0.6445  0.0000  0.2332
F  0.6445  0.2332  0.0000
F  0.7668  0.4113  0.7668
F  0.7668  0.7668  0.4113
F  0.7723  0.0000  0.7723
F  0.7723  0.7723  0.0000

Top 10 peaks for 2θ from 10° to 90°, in order of rising 2θ:
Position (°2θ), I_rel
20.82, 66
25.58, 100
29.62, 17
45.09, 93
50.16, 23
54.87, 15
63.59, 20
65.66, 15
67.70, 22
83.22, 17